(1)
For Er4Tm5Sn2, a GGA-PBE-relaxed structure gives the simulated powder X-ray diffraction pattern in this record (Cu Ka).
Neutral-atom scattering factors, no anomalous dispersion.

Peak list (10 most intense, 10 to 90 degrees two-theta, sorted by position)
2θ = 19.9°, rel. 24
2θ = 32.4°, rel. 100
2θ = 34.0°, rel. 27
2θ = 34.7°, rel. 99
2θ = 48.2°, rel. 33
2θ = 56.3°, rel. 12
2θ = 60.8°, rel. 34
2θ = 62.3°, rel. 19
2θ = 66.1°, rel. 16
2θ = 82.4°, rel. 15

```
Er4Tm5Sn2
1.0
2.5831 1.4914 15.2086
-2.5831 1.4914 15.2086
0.0000 -2.9827 15.2086
Er Tm Sn
4 5 2
direct
0.0713 0.0713 0.0713
0.2266 0.2266 0.2266
0.7734 0.7734 0.7734
0.9287 0.9287 0.9287
0.0000 0.0000 0.0000
0.1475 0.1475 0.1475
0.3037 0.3037 0.3037
0.6963 0.6963 0.6963
0.8525 0.8525 0.8525
0.3783 0.3783 0.3783
0.6217 0.6217 0.6217
```


(2)
For Cu2Ag2F7, a GGA-PBE-relaxed structure gives the simulated powder X-ray diffraction pattern in this record (Cu Ka).
Neutral-atom scattering factors, no anomalous dispersion.

Peak list (10 most intense, 10 to 90 degrees two-theta, sorted by position)
2θ = 29.4°, rel. 100
2θ = 34.1°, rel. 25
2θ = 37.3°, rel. 11
2θ = 44.8°, rel. 4
2θ = 49.0°, rel. 49
2θ = 58.2°, rel. 40
2θ = 61.0°, rel. 9
2θ = 71.8°, rel. 7
2θ = 79.4°, rel. 15
2θ = 81.9°, rel. 12

```
Cu2Ag2F7
1.0
0.0000 5.2607 5.2607
5.2607 0.0000 5.2607
5.2607 5.2607 0.0000
Cu Ag F
4 4 14
direct
0.0000 0.0000 0.0000
0.0000 0.0000 0.5000
0.0000 0.5000 0.0000
0.5000 0.0000 0.0000
0.0000 0.5000 0.5000
0.5000 0.0000 0.5000
0.5000 0.5000 0.0000
0.5000 0.5000 0.5000
0.0710 0.0710 0.6790
0.0710 0.6790 0.0710
0.0710 0.6790 0.6790
0.3210 0.3210 0.9290
0.3210 0.9290 0.3210
0.3210 0.9290 0.9290
0.3750 0.3750 0.3750
0.6250 0.6250 0.6250
0.6790 0.0710 0.0710
0.6790 0.0710 0.6790
0.6790 0.6790 0.0710
0.9290 0.3210 0.3210
0.9290 0.3210 0.9290
0.9290 0.9290 0.3210
```


(3)
For Re4MoSe, a GGA-PBE-relaxed structure gives the simulated powder X-ray diffraction pattern in this record (Cu Ka).
Neutral-atom scattering factors, no anomalous dispersion.

Peak list (10 most intense, 10 to 90 degrees two-theta, sorted by position)
2θ = 20.9°, rel. 43
2θ = 34.5°, rel. 10
2θ = 40.6°, rel. 100
2θ = 42.5°, rel. 65
2θ = 49.5°, rel. 19
2θ = 54.3°, rel. 11
2θ = 65.9°, rel. 32
2θ = 72.6°, rel. 31
2θ = 86.7°, rel. 12
2θ = 88.0°, rel. 26

```
Re4MoSe
1.0
0.0000 3.6815 3.6815
3.6815 0.0000 3.6815
3.6815 3.6815 0.0000
Re Mo Se
4 1 1
direct
0.1247 0.1247 0.1247
0.1247 0.1247 0.6260
0.1247 0.6260 0.1247
0.6260 0.1247 0.1247
0.5000 0.5000 0.5000
0.7500 0.7500 0.7500
```


(4)
For Pr5HoEr4, a GGA-PBE-relaxed structure gives the simulated powder X-ray diffraction pattern in this record (Cu Ka).
Neutral-atom scattering factors, no anomalous dispersion.

Peak list (10 most intense, 10 to 90 degrees two-theta, sorted by position)
2θ = 30.3°, rel. 100
2θ = 30.5°, rel. 33
2θ = 35.1°, rel. 45
2θ = 35.2°, rel. 22
2θ = 50.4°, rel. 24
2θ = 50.7°, rel. 16
2θ = 60.0°, rel. 24
2θ = 60.2°, rel. 19
2θ = 60.4°, rel. 9
2θ = 82.1°, rel. 10

```
Pr5HoEr4
1.0
3.6169 0.0000 0.0000
1.7991 9.3576 0.0000
0.0055 2.8584 9.8192
Pr Ho Er
5 1 4
direct
0.0000 0.0000 0.0000
0.2004 0.5995 0.1007
0.3996 0.1997 0.6934
0.6004 0.8003 0.3066
0.7996 0.4005 0.8993
0.0000 0.0000 0.5000
0.1994 0.6013 0.5998
0.3989 0.2017 0.2056
0.6011 0.7983 0.7944
0.8006 0.3987 0.4002
```


(5)
For ReIrN, a GGA-PBE-relaxed structure gives the simulated powder X-ray diffraction pattern in this record (Cu Ka).
Neutral-atom scattering factors, no anomalous dispersion.

Peak list (10 most intense, 10 to 90 degrees two-theta, sorted by position)
2θ = 24.8°, rel. 17
2θ = 37.2°, rel. 61
2θ = 39.4°, rel. 100
2θ = 39.9°, rel. 20
2θ = 45.6°, rel. 32
2θ = 46.6°, rel. 22
2θ = 46.8°, rel. 44
2θ = 68.2°, rel. 28
2θ = 77.6°, rel. 15
2θ = 79.0°, rel. 14

```
ReIrN
1.0
2.8562 0.0000 0.0000
0.0000 18.5168 0.0000
0.0000 0.0000 3.8980
Re Ir N
4 4 4
direct
0.0000 0.1432 0.2500
0.0000 0.8568 0.7500
0.5000 0.3568 0.7500
0.5000 0.6432 0.2500
0.0000 0.2886 0.2500
0.0000 0.7114 0.7500
0.5000 0.2114 0.7500
0.5000 0.7886 0.2500
0.0000 0.4207 0.7500
0.0000 0.5793 0.2500
0.5000 0.0793 0.2500
0.5000 0.9207 0.7500
```


(6)
For Ac2AlCd6Cu, a GGA-PBE-relaxed structure gives the simulated powder X-ray diffraction pattern in this record (Cu Ka).
Neutral-atom scattering factors, no anomalous dispersion.

Peak list (10 most intense, 10 to 90 degrees two-theta, sorted by position)
2θ = 25.3°, rel. 20
2θ = 28.1°, rel. 100
2θ = 29.2°, rel. 28
2θ = 30.8°, rel. 39
2θ = 31.0°, rel. 75
2θ = 35.3°, rel. 67
2θ = 36.9°, rel. 20
2θ = 47.2°, rel. 16
2θ = 51.3°, rel. 22
2θ = 52.0°, rel. 25

```
Ac2AlCd6Cu
1.0
6.9965 0.0000 0.0000
-3.4942 6.1041 0.0000
-3.4934 -2.0146 6.2009
Ac Al Cd Cu
2 1 6 1
direct
0.0830 0.2914 0.3712
0.9170 0.7086 0.6288
0.5000 0.0000 0.5000
0.0102 0.2518 0.8362
0.4203 0.7467 0.1637
0.4234 0.1761 0.1666
0.5766 0.8239 0.8334
0.5797 0.2533 0.8363
0.9898 0.7482 0.1638
0.5000 0.5000 0.0000
```


(7)
For CdP2O6, a GGA-PBE-relaxed structure gives the simulated powder X-ray diffraction pattern in this record (Cu Ka).
Neutral-atom scattering factors, no anomalous dispersion.

Peak list (10 most intense, 10 to 90 degrees two-theta, sorted by position)
2θ = 12.7°, rel. 78
2θ = 20.2°, rel. 58
2θ = 24.4°, rel. 50
2θ = 28.3°, rel. 45
2θ = 28.5°, rel. 100
2θ = 29.1°, rel. 26
2θ = 34.6°, rel. 41
2θ = 37.3°, rel. 26
2θ = 52.6°, rel. 19
2θ = 53.7°, rel. 15

```
CdP2O6
1.0
5.2215 -4.8395 0.0000
5.2215 4.8395 0.0000
-1.4257 0.0000 4.8221
Cd P O
2 4 12
direct
0.1329 0.8671 0.7500
0.8671 0.1329 0.2500
0.1983 0.3664 0.7652
0.3664 0.1983 0.2652
0.6336 0.8017 0.7348
0.8017 0.6336 0.2348
0.0617 0.2015 0.6782
0.1182 0.5676 0.8083
0.2015 0.0617 0.1782
0.3392 0.3476 0.5449
0.3476 0.3392 0.0449
0.4324 0.8818 0.6917
0.5676 0.1182 0.3083
0.6524 0.6608 0.9551
0.6608 0.6524 0.4551
0.7985 0.9383 0.8218
0.8818 0.4324 0.1917
0.9383 0.7985 0.3218
```


(8)
For AcLa5Tm3, a GGA-PBE-relaxed structure gives the simulated powder X-ray diffraction pattern in this record (Cu Ka).
Neutral-atom scattering factors, no anomalous dispersion.

Peak list (10 most intense, 10 to 90 degrees two-theta, sorted by position)
2θ = 30.5°, rel. 66
2θ = 30.6°, rel. 100
2θ = 30.7°, rel. 35
2θ = 43.7°, rel. 23
2θ = 44.0°, rel. 11
2θ = 54.3°, rel. 16
2θ = 54.4°, rel. 11
2θ = 54.6°, rel. 11
2θ = 60.4°, rel. 14
2θ = 60.6°, rel. 10

```
AcLa5Tm3
1.0
7.7354 -5.0663 0.0000
7.7354 5.0663 0.0000
-4.5174 0.0000 8.1087
Ac La Tm
2 10 6
direct
0.0985 0.9015 0.7500
0.9015 0.0985 0.2500
0.0512 0.2818 0.0673
0.2545 0.3889 0.8897
0.2818 0.0512 0.5673
0.3889 0.2545 0.3897
0.4510 0.5490 0.7500
0.5490 0.4510 0.2500
0.6111 0.7455 0.6103
0.7182 0.9488 0.4327
0.7455 0.6111 0.1103
0.9488 0.7182 0.9327
0.0000 0.5000 0.5000
0.1617 0.6720 0.3416
0.3280 0.8383 0.1584
0.5000 0.0000 0.0000
0.6720 0.1617 0.8416
0.8383 0.3280 0.6584
```


(9)
For NaUAgO5, a GGA-PBE-relaxed structure gives the simulated powder X-ray diffraction pattern in this record (Cu Ka).
Neutral-atom scattering factors, no anomalous dispersion.

Peak list (10 most intense, 10 to 90 degrees two-theta, sorted by position)
2θ = 16.8°, rel. 66
2θ = 18.2°, rel. 38
2θ = 25.2°, rel. 100
2θ = 28.4°, rel. 59
2θ = 29.6°, rel. 48
2θ = 31.0°, rel. 60
2θ = 31.9°, rel. 38
2θ = 36.4°, rel. 24
2θ = 44.0°, rel. 49
2θ = 46.2°, rel. 22

```
NaUAgO5
1.0
3.2733 -4.8746 0.0000
3.2733 4.8746 0.0000
-2.2867 0.0000 7.6938
Na U Ag O
2 2 2 10
direct
0.1865 0.8135 0.7500
0.8135 0.1865 0.2500
0.5000 0.5000 0.0000
0.5000 0.5000 0.5000
0.1515 0.8485 0.2500
0.8485 0.1515 0.7500
0.1723 0.1750 0.4110
0.1750 0.1723 0.9110
0.2798 0.6796 0.0610
0.3204 0.7202 0.4390
0.4219 0.5781 0.7500
0.5781 0.4219 0.2500
0.6796 0.2798 0.5610
0.7202 0.3204 0.9390
0.8250 0.8277 0.0890
0.8277 0.8250 0.5890
```


(10)
For Tl5GeAu6, a GGA-PBE-relaxed structure gives the simulated powder X-ray diffraction pattern in this record (Cu Ka).
Neutral-atom scattering factors, no anomalous dispersion.

Peak list (10 most intense, 10 to 90 degrees two-theta, sorted by position)
2θ = 30.3°, rel. 14
2θ = 30.9°, rel. 100
2θ = 37.2°, rel. 21
2θ = 40.4°, rel. 12
2θ = 42.4°, rel. 7
2θ = 43.5°, rel. 20
2θ = 45.0°, rel. 24
2θ = 51.7°, rel. 12
2θ = 61.4°, rel. 7
2θ = 74.2°, rel. 7

```
Tl5GeAu6
1.0
3.5288 -6.7002 0.0000
3.5288 6.7002 0.0000
-2.6932 0.0000 6.2358
Tl Ge Au
5 1 6
direct
0.0000 0.0000 0.0000
0.1406 0.8594 0.5000
0.2970 0.7030 0.0000
0.7030 0.2970 0.0000
0.8594 0.1406 0.5000
0.5000 0.5000 0.5000
0.1409 0.4567 0.2961
0.3273 0.3273 0.7933
0.4567 0.1409 0.2961
0.5433 0.8591 0.7039
0.6727 0.6727 0.2067
0.8591 0.5433 0.7039
```


(11)
For Cs6HfI12, a GGA-PBE-relaxed structure gives the simulated powder X-ray diffraction pattern in this record (Cu Ka).
Neutral-atom scattering factors, no anomalous dispersion.

Peak list (10 most intense, 10 to 90 degrees two-theta, sorted by position)
2θ = 16.4°, rel. 31
2θ = 20.4°, rel. 23
2θ = 26.3°, rel. 29
2θ = 26.7°, rel. 100
2θ = 27.6°, rel. 27
2θ = 28.8°, rel. 18
2θ = 30.8°, rel. 88
2θ = 43.9°, rel. 31
2θ = 44.4°, rel. 26
2θ = 52.4°, rel. 20

```
Cs6HfI12
1.0
7.3524 4.2449 6.7668
-7.3524 4.2449 6.7668
0.0000 -8.4898 6.7668
Cs Hf I
6 1 12
direct
0.0165 0.1968 0.5634
0.1968 0.5634 0.0165
0.4366 0.9835 0.8032
0.5634 0.0165 0.1968
0.8032 0.4366 0.9836
0.9836 0.8032 0.4366
0.0000 0.0000 0.0000
0.0014 0.4784 0.3334
0.0958 0.8692 0.7899
0.1308 0.2101 0.9042
0.2101 0.9042 0.1308
0.3334 0.0014 0.4784
0.4784 0.3334 0.0014
0.5216 0.6666 0.9986
0.6666 0.9986 0.5216
0.7899 0.0958 0.8692
0.8692 0.7899 0.0958
0.9042 0.1308 0.2101
0.9986 0.5216 0.6666
```


(12)
For Pm12Y7Tl, a GGA-PBE-relaxed structure gives the simulated powder X-ray diffraction pattern in this record (Cu Ka).
Neutral-atom scattering factors, no anomalous dispersion.

Peak list (10 most intense, 10 to 90 degrees two-theta, sorted by position)
2θ = 18.1°, rel. 12
2θ = 26.2°, rel. 14
2θ = 27.0°, rel. 11
2θ = 30.4°, rel. 19
2θ = 30.5°, rel. 100
2θ = 31.0°, rel. 23
2θ = 41.0°, rel. 27
2θ = 46.3°, rel. 18
2θ = 54.8°, rel. 18
2θ = 58.8°, rel. 12

```
Pm12Y7Tl
1.0
5.8875 3.3991 5.7768
-5.8875 3.3991 5.7768
0.0000 -6.7983 5.7768
Pm Y Tl
12 7 1
direct
0.0394 0.0394 0.6519
0.0394 0.6519 0.0394
0.2836 0.2836 0.6823
0.2836 0.6823 0.2836
0.3177 0.7164 0.7164
0.3481 0.9606 0.9606
0.6519 0.0394 0.0394
0.6823 0.2836 0.2836
0.7164 0.3177 0.7164
0.7164 0.7164 0.3177
0.9606 0.3481 0.9606
0.9606 0.9606 0.3481
0.0000 0.0000 0.0000
0.0445 0.3605 0.3605
0.3605 0.0445 0.3605
0.3605 0.3605 0.0445
0.6395 0.6395 0.9555
0.6395 0.9555 0.6395
0.9555 0.6395 0.6395
0.5000 0.5000 0.5000
```